For KBaVO4, a crystal structure in Alexandria, relaxed with GGA+U gives the theoretical powder diffractogram in this record (copper Kα).

Structure:
```
data_KBaVO4
_chemical_formula_sum 'K4 Ba4 V4 O16'
_cell_length_a 7.8810
_cell_length_b 6.0281
_cell_length_c 10.5647
_cell_angle_alpha 90.00
_cell_angle_beta 90.00
_cell_angle_gamma 90.00
_space_group_name_H-M_alt 'P n m a'
_space_group_IT_number 62
_space_group_name_Hall '-P 2ac 2n'
loop_
_atom_site_label
_atom_site_type_symbol
_atom_site_fract_x
_atom_site_fract_y
_atom_site_fract_z
_atom_site_occupancy
K1 K 0.1637 0.2500 0.0735 1
Ba1 Ba 0.0015 0.7500 0.3037 1
V1 V 0.2273 0.2500 0.4162 1
O1 O 0.0081 0.2500 0.4293 1
O2 O 0.1872 0.7500 0.0694 1
O3 O 0.2089 0.5110 0.8358 1
```

Largest 8 diffraction maxima, in order of falling intensity, 15 to 90 degrees two-theta:
| 2θ (°) | Rel. int. | h k l |
| --- | --- | --- |
| 28.3 | 100 | 2 1 1 |
| 29.4 | 41 | 0 1 3 |
| 29.6 | 39 | 0 2 0 |
| 16.9 | 35 | 0 1 1 |
| 38.9 | 28 | 1 1 4 |
| 41.4 | 27 | 2 2 2 |
| 25.1 | 26 | 1 1 2 |
| 41.1 | 22 | 1 2 3 |